[1]
The following is a calculated powder diffractogram of BeHgS2. It was derived from a cell relaxed with GGA-PBE, using Cu Ka.

Structure:
```
data_BeHgS2
_chemical_formula_sum 'Be4 Hg4 S8'
_symmetry_space_group_name_H-M 'I 4/m c m'
_symmetry_Int_Tables_number 140
_symmetry_space_group_name_Hall '-I 4 2c'
_cell_length_a 7.1109
_cell_length_b 7.1109
_cell_length_c 5.7020
_cell_angle_alpha 90.00
_cell_angle_beta 90.00
_cell_angle_gamma 90.00
loop_
_atom_site_label
_atom_site_fract_x
_atom_site_fract_y
_atom_site_fract_z
Be1 0.0000 0.5000 0.2500
Hg1 0.0000 0.0000 0.2500
S1 0.1572 0.3428 0.0000
```

Top 8 peaks for 15° ≤ 2θ ≤ 90°, in order of rising 2θ:
- 17.6°, 5.028 Å, rel. 1000, hkl 1 1 0
- 25.0°, 3.555 Å, rel. 498, hkl 2 0 0
- 35.7°, 2.514 Å, rel. 296, hkl 2 2 0
- 36.2°, 2.480 Å, rel. 558, hkl 1 1 2
- 40.1°, 2.249 Å, rel. 485, hkl 3 1 0
- 40.6°, 2.224 Å, rel. 478, hkl 2 0 2
- 48.3°, 1.886 Å, rel. 211, hkl 2 2 2
- 51.8°, 1.766 Å, rel. 233, hkl 3 1 2


[2]
The following is a calculated powder diffractogram of BeHgS2. It was derived from a cell relaxed with GGA-PBE, using Cu Ka.

Structure:
```
data_BeHgS2
_chemical_formula_sum 'Be4 Hg4 S8'
_symmetry_space_group_name_H-M 'P n a 21'
_symmetry_Int_Tables_number 33
_cell_length_a 6.4987
_cell_length_b 7.6999
_cell_length_c 6.2854
_cell_angle_alpha 90.00
_cell_angle_beta 90.00
_cell_angle_gamma 90.00
loop_
_symmetry_equiv_pos_as_xyz
'x,y,z'
'-x,-y,z+1/2'
'-x+1/2,y+1/2,z+1/2'
'x+1/2,-y+1/2,z'
loop_
_atom_site_label
_atom_site_fract_x
_atom_site_fract_y
_atom_site_fract_z
Be1 0.0691 0.1256 0.0000
Hg1 0.0876 0.6247 0.9942
S1 0.0498 0.0923 0.6627
S2 0.1141 0.6564 0.5876
```

Top 8 peaks for 15° ≤ 2θ ≤ 90°, in order of rising 2θ:
- 17.9°, 4.966 Å, rel. 752, hkl 1 1 0
- 18.2°, 4.869 Å, rel. 1000, hkl 0 1 1
- 26.9°, 3.312 Å, rel. 536, hkl 1 2 0
- 28.4°, 3.143 Å, rel. 547, hkl 0 0 2
- 29.8°, 2.994 Å, rel. 421, hkl 2 1 0
- 30.5°, 2.930 Å, rel. 890, hkl 1 2 1
- 31.0°, 2.886 Å, rel. 443, hkl 2 0 1
- 33.8°, 2.656 Å, rel. 586, hkl 1 1 2


[3]
The following is a calculated powder diffractogram of ScBeHg. It was derived from a cell relaxed with GGA-PBE, using Cu Ka.

Structure:
```
data_ScBeHg
_chemical_formula_sum 'Sc1 Be1 Hg1'
_symmetry_space_group_name_H-M 'P -6 m 2'
_symmetry_Int_Tables_number 187
_symmetry_space_group_name_Hall 'P -6 2'
_cell_length_a 4.2801
_cell_length_b 4.2801
_cell_length_c 3.3539
_cell_angle_alpha 90.00
_cell_angle_beta 90.00
_cell_angle_gamma 120.00
loop_
_atom_site_label
_atom_site_fract_x
_atom_site_fract_y
_atom_site_fract_z
Sc1 0.0000 0.0000 0.0000
Be1 0.6667 0.3333 0.5000
Hg1 0.3333 0.6667 0.5000
```

Top 8 peaks for 15° ≤ 2θ ≤ 90°, in order of rising 2θ:
- 24.0°, 3.707 Å, rel. 869, hkl 1 0 0
- 26.6°, 3.354 Å, rel. 188, hkl 0 0 1
- 36.1°, 2.487 Å, rel. 1000, hkl 1 0 1
- 42.2°, 2.140 Å, rel. 405, hkl 1 1 0
- 50.6°, 1.804 Å, rel. 209, hkl 1 1 1
- 56.8°, 1.622 Å, rel. 272, hkl 2 0 1
- 71.5°, 1.320 Å, rel. 170, hkl 1 1 2
- 73.2°, 1.293 Å, rel. 258, hkl 2 1 1


[4]
The following is a calculated powder diffractogram of TaBe2Hg2. It was derived from a cell relaxed with GGA-PBE, using Cu Ka.

Structure:
```
data_TaBe2Hg2
_chemical_formula_sum 'Ta2 Be4 Hg4'
_symmetry_space_group_name_H-M 'I 4/m m m'
_symmetry_Int_Tables_number 139
_symmetry_space_group_name_Hall '-I 4 2'
_cell_length_a 3.9220
_cell_length_b 3.9220
_cell_length_c 10.1458
_cell_angle_alpha 90.00
_cell_angle_beta 90.00
_cell_angle_gamma 90.00
loop_
_atom_site_label
_atom_site_fract_x
_atom_site_fract_y
_atom_site_fract_z
Ta1 0.0000 0.0000 0.0000
Be1 0.0000 0.0000 0.4041
Hg1 0.0000 0.5000 0.2500
```

Top 8 peaks for 15° ≤ 2θ ≤ 90°, in order of rising 2θ:
- 17.5°, 5.073 Å, rel. 208, hkl 0 0 2
- 24.3°, 3.658 Å, rel. 238, hkl 1 0 1
- 35.4°, 2.536 Å, rel. 268, hkl 0 0 4
- 36.9°, 2.433 Å, rel. 1000, hkl 1 1 2
- 46.3°, 1.961 Å, rel. 273, hkl 2 0 0
- 59.6°, 1.551 Å, rel. 243, hkl 2 0 4
- 64.5°, 1.444 Å, rel. 191, hkl 1 1 6
- 79.6°, 1.205 Å, rel. 226, hkl 3 1 2


[5]
The following is a calculated powder diffractogram of BeHg3Te4. It was derived from a cell relaxed with GGA-PBE, using Cu Ka.

Structure:
```
data_BeHg3Te4
_chemical_formula_sum 'Be2 Hg6 Te8'
_symmetry_space_group_name_H-M 'I -4 2 m'
_symmetry_Int_Tables_number 121
_symmetry_space_group_name_Hall 'I -4 2'
_cell_length_a 6.4029
_cell_length_b 6.4029
_cell_length_c 12.7371
_cell_angle_alpha 90.00
_cell_angle_beta 90.00
_cell_angle_gamma 90.00
loop_
_atom_site_label
_atom_site_fract_x
_atom_site_fract_y
_atom_site_fract_z
Be1 0.0000 0.0000 0.0000
Hg1 0.0000 0.0000 0.5000
Hg2 0.0000 0.5000 0.2500
Te1 0.2222 0.2222 0.1132
```

Top 8 peaks for 15° ≤ 2θ ≤ 90°, in order of rising 2θ:
- 24.1°, 3.690 Å, rel. 1000, hkl 1 1 2
- 32.0°, 2.794 Å, rel. 126, hkl 2 1 1
- 39.8°, 2.264 Å, rel. 249, hkl 2 2 0
- 39.9°, 2.258 Å, rel. 501, hkl 2 0 4
- 47.1°, 1.930 Å, rel. 304, hkl 3 1 2
- 47.3°, 1.922 Å, rel. 154, hkl 1 1 6
- 63.5°, 1.465 Å, rel. 125, hkl 3 1 6
- 72.4°, 1.306 Å, rel. 143, hkl 4 2 4


[6]
The following is a calculated powder diffractogram of BeTlHg2. It was derived from a cell relaxed with GGA-PBE, using Cu Ka.

Structure:
```
data_BeTlHg2
_chemical_formula_sum 'Be2 Tl2 Hg4'
_symmetry_space_group_name_H-M 'A m m 2'
_symmetry_Int_Tables_number 38
_cell_length_a 3.7229
_cell_length_b 4.8083
_cell_length_c 11.1262
_cell_angle_alpha 90.00
_cell_angle_beta 90.00
_cell_angle_gamma 90.00
loop_
_symmetry_equiv_pos_as_xyz
'x,y,z'
'-x,-y,z'
'-x,y,z'
'x,-y,z'
'x,y+1/2,z+1/2'
'-x,-y+1/2,z+1/2'
'-x,y+1/2,z+1/2'
'x,-y+1/2,z+1/2'
loop_
_atom_site_label
_atom_site_fract_x
_atom_site_fract_y
_atom_site_fract_z
Be1 0.0000 0.0000 0.0000
Tl1 0.5000 0.0000 0.8180
Hg1 0.0000 0.0000 0.4678
Hg2 0.5000 0.0000 0.1432
```

Top 8 peaks for 15° ≤ 2θ ≤ 90°, in order of rising 2θ:
- 28.9°, 3.094 Å, rel. 495, hkl 1 0 2
- 30.4°, 2.937 Å, rel. 1000, hkl 0 1 3
- 31.4°, 2.846 Å, rel. 859, hkl 1 1 1
- 37.4°, 2.404 Å, rel. 309, hkl 0 2 0
- 40.5°, 2.228 Å, rel. 255, hkl 1 0 4
- 47.9°, 1.898 Å, rel. 251, hkl 1 2 2
- 58.7°, 1.572 Å, rel. 322, hkl 2 1 3
- 63.2°, 1.472 Å, rel. 266, hkl 2 2 0


[7]
The following is a calculated powder diffractogram of YTmBeHg. It was derived from a cell relaxed with GGA-PBE, using Cu Ka.

Structure:
```
data_YTmBeHg
_chemical_formula_sum 'Y4 Tm4 Be4 Hg4'
_symmetry_space_group_name_H-M 'F -4 3 m'
_symmetry_Int_Tables_number 216
_symmetry_space_group_name_Hall 'F -4 2 3'
_cell_length_a 7.1599
_cell_length_b 7.1599
_cell_length_c 7.1599
_cell_angle_alpha 90.00
_cell_angle_beta 90.00
_cell_angle_gamma 90.00
loop_
_atom_site_label
_atom_site_fract_x
_atom_site_fract_y
_atom_site_fract_z
Y1 0.0000 0.0000 0.0000
Tm1 0.0000 0.0000 0.5000
Be1 0.2500 0.2500 0.2500
Hg1 0.2500 0.2500 0.7500
```

Top 8 peaks for 15° ≤ 2θ ≤ 90°, in order of rising 2θ:
- 21.5°, 4.134 Å, rel. 458, hkl 1 1 1
- 35.5°, 2.531 Å, rel. 1000, hkl 2 2 0
- 41.8°, 2.159 Å, rel. 260, hkl 3 1 1
- 51.0°, 1.790 Å, rel. 178, hkl 4 0 0
- 56.0°, 1.643 Å, rel. 113, hkl 3 3 1
- 63.7°, 1.462 Å, rel. 367, hkl 4 2 2
- 75.0°, 1.266 Å, rel. 114, hkl 4 4 0
- 85.8°, 1.132 Å, rel. 166, hkl 6 2 0


[8]
The following is a calculated powder diffractogram of ZrBeHg2. It was derived from a cell relaxed with GGA-PBE, using Cu Ka.

Structure:
```
data_ZrBeHg2
_chemical_formula_sum 'Zr2 Be2 Hg4'
_symmetry_space_group_name_H-M 'C 1 m 1'
_symmetry_Int_Tables_number 8
_cell_length_a 8.5416
_cell_length_b 3.2768
_cell_length_c 6.1478
_cell_angle_alpha 90.00
_cell_angle_beta 113.24
_cell_angle_gamma 90.00
loop_
_symmetry_equiv_pos_as_xyz
'x,y,z'
'x,-y,z'
'x+1/2,y+1/2,z'
'x+1/2,-y+1/2,z'
loop_
_atom_site_label
_atom_site_fract_x
_atom_site_fract_y
_atom_site_fract_z
Zr1 0.0000 0.0000 0.0000
Be1 0.1771 0.5000 0.3607
Hg1 0.1951 0.0000 0.6975
Hg2 0.3822 0.0000 0.3396
```

Top 8 peaks for 15° ≤ 2θ ≤ 90°, in order of rising 2θ:
- 21.9°, 4.060 Å, rel. 310, hkl 2 0 -1
- 29.5°, 3.024 Å, rel. 1000, hkl 1 1 0
- 30.9°, 2.898 Å, rel. 983, hkl 2 0 -2
- 32.5°, 2.754 Å, rel. 878, hkl 2 0 1
- 35.7°, 2.512 Å, rel. 914, hkl 1 1 1
- 40.2°, 2.241 Å, rel. 692, hkl 1 1 -2
- 42.1°, 2.146 Å, rel. 779, hkl 3 1 -1
- 42.4°, 2.133 Å, rel. 376, hkl 4 0 -1


[9]
The following is a calculated powder diffractogram of Zr4Be2Hg5. It was derived from a cell relaxed with GGA-PBE, using Cu Ka.

Structure:
```
data_Zr4Be2Hg5
_chemical_formula_sum 'Zr4 Be2 Hg5'
_symmetry_space_group_name_H-M 'P 1 2/m 1'
_symmetry_Int_Tables_number 10
_cell_length_a 7.4771
_cell_length_b 3.3062
_cell_length_c 8.8658
_cell_angle_alpha 90.00
_cell_angle_beta 93.37
_cell_angle_gamma 90.00
loop_
_symmetry_equiv_pos_as_xyz
'x,y,z'
'-x,-y,-z'
'-x,y,-z'
'x,-y,z'
loop_
_atom_site_label
_atom_site_fract_x
_atom_site_fract_y
_atom_site_fract_z
Zr1 0.1789 0.0000 0.3406
Zr2 0.2195 0.0000 0.9378
Be1 0.0548 0.5000 0.1192
Hg1 0.1529 0.5000 0.6431
Hg2 0.4477 0.5000 0.1657
Hg3 0.5000 0.5000 0.5000
```

Top 8 peaks for 15° ≤ 2θ ≤ 90°, in order of rising 2θ:
- 27.0°, 3.306 Å, rel. 410, hkl 0 1 0
- 29.6°, 3.023 Å, rel. 334, hkl 1 1 0
- 33.3°, 2.690 Å, rel. 793, hkl 1 0 3
- 35.6°, 2.524 Å, rel. 437, hkl 1 1 -2
- 36.1°, 2.488 Å, rel. 565, hkl 3 0 0
- 36.4°, 2.471 Å, rel. 1000, hkl 1 1 2
- 37.7°, 2.384 Å, rel. 456, hkl 2 0 -3
- 38.1°, 2.360 Å, rel. 464, hkl 2 1 1


[10]
The following is a calculated powder diffractogram of Ho2Be17. It was derived from a cell relaxed with GGA-PBE, using Cu Ka.

Structure:
```
data_Ho2Be17
_chemical_formula_sum 'Ho6 Be51'
_symmetry_space_group_name_H-M 'R -3 m'
_symmetry_Int_Tables_number 166
_symmetry_space_group_name_Hall '-R 3 2"'
_cell_length_a 7.7035
_cell_length_b 7.7035
_cell_length_c 11.2297
_cell_angle_alpha 90.00
_cell_angle_beta 90.00
_cell_angle_gamma 120.00
loop_
_atom_site_label
_atom_site_fract_x
_atom_site_fract_y
_atom_site_fract_z
Ho1 0.0000 0.0000 0.1610
Be1 0.0000 0.0000 0.4049
Be2 0.0000 0.2794 0.5000
Be3 0.0000 0.5000 0.0000
Be4 0.0032 0.5016 0.3397
```

Top 8 peaks for 15° ≤ 2θ ≤ 90°, in order of rising 2θ:
- 15.4°, 5.736 Å, rel. 624, hkl 1 0 1
- 20.7°, 4.296 Å, rel. 241, hkl 0 1 2
- 23.1°, 3.852 Å, rel. 1000, hkl 1 1 0
- 23.8°, 3.743 Å, rel. 310, hkl 0 0 3
- 33.4°, 2.684 Å, rel. 915, hkl 1 1 3
- 40.6°, 2.224 Å, rel. 304, hkl 3 0 0
- 47.6°, 1.912 Å, rel. 428, hkl 3 0 3
- 69.2°, 1.357 Å, rel. 241, hkl 1 4 3


[11]
The following is a calculated powder diffractogram of HoBe13. It was derived from a cell relaxed with GGA-PBE, using Cu Ka.

Structure:
```
data_HoBe13
_chemical_formula_sum 'Ho8 Be104'
_symmetry_space_group_name_H-M 'F m -3 c'
_symmetry_Int_Tables_number 226
_symmetry_space_group_name_Hall '-F 4a 2 3'
_cell_length_a 10.1628
_cell_length_b 10.1628
_cell_length_c 10.1628
_cell_angle_alpha 90.00
_cell_angle_beta 90.00
_cell_angle_gamma 90.00
loop_
_atom_site_label
_atom_site_fract_x
_atom_site_fract_y
_atom_site_fract_z
Ho1 0.2500 0.2500 0.2500
Be1 0.0000 0.0000 0.0000
Be2 0.0000 0.1138 0.1768
```

Top 8 peaks for 15° ≤ 2θ ≤ 90°, in order of rising 2θ:
- 17.5°, 5.081 Å, rel. 913, hkl 2 0 0
- 24.8°, 3.593 Å, rel. 1000, hkl 2 2 0
- 30.5°, 2.934 Å, rel. 440, hkl 2 2 2
- 39.7°, 2.272 Å, rel. 713, hkl 4 2 0
- 43.6°, 2.074 Å, rel. 603, hkl 4 2 2
- 54.1°, 1.694 Å, rel. 231, hkl 4 4 2
- 57.3°, 1.607 Å, rel. 253, hkl 6 2 0
- 69.2°, 1.358 Å, rel. 278, hkl 6 4 2


[12]
The following is a calculated powder diffractogram of HoBeIr. It was derived from a cell relaxed with GGA-PBE, using Cu Ka.

Structure:
```
data_HoBeIr
_chemical_formula_sum 'Ho4 Be4 Ir4'
_symmetry_space_group_name_H-M 'P n m a'
_symmetry_Int_Tables_number 62
_cell_length_a 6.7522
_cell_length_b 4.1020
_cell_length_c 7.2278
_cell_angle_alpha 90.00
_cell_angle_beta 90.00
_cell_angle_gamma 90.00
loop_
_symmetry_equiv_pos_as_xyz
'x,y,z'
'-x,-y,-z'
'-x+1/2,-y,z+1/2'
'x+1/2,y,-z+1/2'
'x+1/2,-y+1/2,-z+1/2'
'-x+1/2,y+1/2,z+1/2'
'-x,y+1/2,-z'
'x,-y+1/2,z'
loop_
_atom_site_label
_atom_site_fract_x
_atom_site_fract_y
_atom_site_fract_z
Ho1 0.0011 0.2500 0.1929
Be1 0.1789 0.2500 0.5918
Ir1 0.1812 0.7500 0.4264
```

Top 8 peaks for 15° ≤ 2θ ≤ 90°, in order of rising 2θ:
- 28.3°, 3.154 Å, rel. 997, hkl 1 1 1
- 35.7°, 2.516 Å, rel. 733, hkl 1 1 2
- 36.4°, 2.467 Å, rel. 456, hkl 2 0 2
- 36.6°, 2.452 Å, rel. 1000, hkl 2 1 1
- 42.0°, 2.149 Å, rel. 396, hkl 3 0 1
- 43.6°, 2.077 Å, rel. 512, hkl 0 1 3
- 44.2°, 2.051 Å, rel. 436, hkl 0 2 0
- 70.7°, 1.333 Å, rel. 395, hkl 3 1 4